(1)
Starting from a PBE-relaxed structure, the X-ray diffraction stick pattern of DyB2Os was simulated for a wavelength of 1.5418 Å.

Main lines, low angle first (2θ from 10° to 90°):
d [Å]	two_theta	Rel. int.
3.191	27.96	31
2.808	31.87	22
2.655	33.76	66
2.582	34.74	28
2.482	36.19	81
2.393	37.58	100
2.041	44.39	23
1.873	48.61	20
1.478	62.87	41
1.269	74.79	27

Crystal structure
```
16
Lattice="5.9094 0.0000 0.0000 0.0000 5.3105 0.0000 0.0000 0.0000 6.3815" Properties=species:S:1:pos:R:3 pbc="T T T"
Dy 0.0606 1.3276 1.0474
Dy 2.8941 3.9828 4.2382
Dy 3.0153 1.3276 2.1433
Dy 5.8488 3.9828 5.3341
B 0.8060 3.0891 2.9371
B 0.8060 4.8766 2.9371
B 2.1487 0.4339 6.1278
B 2.1487 2.2213 6.1278
B 3.7607 3.0891 0.2537
B 3.7607 4.8766 0.2537
B 5.1034 0.4339 3.4444
B 5.1034 2.2213 3.4444
Os 1.0462 1.3276 4.3517
Os 1.9085 3.9828 1.1610
Os 4.0009 1.3276 5.2205
Os 4.8631 3.9828 2.0298
```

(2)
Starting from a PBE-relaxed structure, the X-ray diffraction stick pattern of DyB4Os was simulated for a wavelength of 1.5418 Å.

Main lines, low angle first (2θ from 10° to 90°):
d [Å]	two_theta	Rel. int.
3.571	24.93	88
2.890	30.94	86
2.600	34.49	22
2.360	38.13	30
2.247	40.14	100
2.102	43.03	28
1.969	46.10	40
1.786	51.16	19
1.519	60.99	26
1.306	72.33	13

Crystal structure
```
24
Lattice="5.9733 0.0000 0.0000 0.0000 11.5534 0.0000 0.0000 0.0000 3.5713" Properties=species:S:1:pos:R:3 pbc="T T T"
Dy 0.7648 1.7358 0.0000
Dy 2.2219 7.5124 0.0000
Dy 3.7514 4.0409 0.0000
Dy 5.2085 9.8176 0.0000
B 0.1514 7.9860 1.7856
B 0.6726 6.3155 1.7856
B 0.8143 11.2058 1.7856
B 1.2631 9.4068 1.7856
B 1.7236 3.6301 1.7856
B 2.1724 5.4292 1.7856
B 2.3141 0.5388 1.7856
B 2.8353 2.2093 1.7856
B 3.1380 9.3440 1.7856
B 3.6592 11.0146 1.7856
B 3.8009 6.1242 1.7856
B 4.2497 7.9232 1.7856
B 4.7103 2.1466 1.7856
B 5.1590 0.3475 1.7856
B 5.3008 5.2379 1.7856
B 5.8219 3.5673 1.7856
Os 0.8427 4.6979 0.0000
Os 2.1440 10.4746 0.0000
Os 3.8293 1.0788 0.0000
Os 5.1307 6.8554 0.0000
```

(3)
Starting from a PBE-relaxed structure, the X-ray diffraction stick pattern of Dy2B6Os was simulated for a wavelength of 1.5418 Å.

Main lines, low angle first (2θ from 10° to 90°):
d [Å]	two_theta	Rel. int.
3.665	24.29	100
2.951	30.29	63
2.886	30.99	21
2.753	32.53	29
2.701	33.17	24
2.298	39.19	77
2.267	39.76	26
2.201	41.01	36
2.174	41.54	31
1.832	49.76	22

Crystal structure
```
36
Lattice="9.1679 0.0000 0.0000 0.0000 11.5441 0.0000 0.0000 0.0000 3.6647" Properties=species:S:1:pos:R:3 pbc="T T T"
Dy 0.5050 1.4619 0.0000
Dy 1.6297 4.7748 0.0000
Dy 2.9542 10.5468 0.0000
Dy 4.0790 7.2339 0.0000
Dy 5.0889 4.3102 0.0000
Dy 6.2137 0.9972 0.0000
Dy 7.5381 6.7693 0.0000
Dy 8.6629 10.0822 0.0000
B 0.1430 3.3123 1.8324
B 0.4976 6.5456 1.8324
B 1.0194 11.1881 1.8324
B 1.2172 9.3996 1.8324
B 1.9121 2.6826 1.8324
B 2.2761 6.6898 1.8324
B 2.3078 0.9178 1.8324
B 2.6718 8.4546 1.8324
B 3.3668 3.6276 1.8324
B 3.5646 5.4161 1.8324
B 4.0863 0.7736 1.8324
B 4.4410 9.0843 1.8324
B 4.7269 2.4597 1.8324
B 5.0816 10.7705 1.8324
B 5.6033 6.1280 1.8324
B 5.8011 7.9165 1.8324
B 6.4961 3.0894 1.8324
B 6.8601 10.6263 1.8324
B 6.8918 4.8543 1.8324
B 7.2558 8.8615 1.8324
B 7.9507 2.1444 1.8324
B 8.1485 0.3559 1.8324
B 8.6702 4.9984 1.8324
B 9.0249 8.2318 1.8324
Os 1.2674 7.8314 0.0000
Os 3.3165 2.0593 0.0000
Os 5.8514 9.4847 0.0000
Os 7.9004 3.7127 0.0000
```

(4)
Starting from a PBE-relaxed structure, the X-ray diffraction stick pattern of DyBPd3 was simulated for a wavelength of 1.5418 Å.

Main lines, low angle first (2θ from 10° to 90°):
d [Å]	two_theta	Rel. int.
4.320	20.56	2
3.054	29.24	4
2.494	36.01	100
2.160	41.83	52
1.932	47.04	1
1.763	51.85	2
1.527	60.64	34
1.302	72.59	38
1.247	76.38	12
1.154	83.79	1

Crystal structure
```
5
Lattice="4.3196 0.0000 0.0000 0.0000 4.3196 0.0000 0.0000 0.0000 4.3196" Properties=species:S:1:pos:R:3 pbc="T T T"
Dy 0.0000 0.0000 0.0000
B 2.1598 2.1598 2.1598
Pd 0.0000 2.1598 2.1598
Pd 2.1598 0.0000 2.1598
Pd 2.1598 2.1598 0.0000
```

(5)
Starting from a PBE-relaxed structure, the X-ray diffraction stick pattern of Dy3ReB7 was simulated for a wavelength of 1.5418 Å.

Main lines, low angle first (2θ from 10° to 90°):
d [Å]	two_theta	Rel. int.
3.454	25.79	100
3.020	29.58	69
2.903	30.80	64
2.634	34.04	31
2.536	35.40	24
2.316	38.89	77
2.286	39.41	58
2.139	42.24	25
1.770	51.64	25
1.527	60.66	31

Crystal structure
```
22
Lattice="1.7700 -7.9021 0.0000 1.7700 7.9021 0.0000 0.0000 0.0000 9.3636" Properties=species:S:1:pos:R:3 pbc="T T T"
Dy 1.7700 6.2366 5.2423
Dy 1.7700 6.2366 8.8032
Dy 1.7700 4.0739 2.3409
Dy 1.7700 -4.0739 7.0227
Dy 1.7700 -6.2366 0.5604
Dy 1.7700 -6.2366 4.1214
Re 1.7700 7.0618 2.3409
Re 1.7700 -7.0618 7.0227
B 1.7700 3.5860 4.9947
B 1.7700 3.5860 9.0507
B 1.7700 2.0855 6.0915
B 1.7700 2.0855 7.9540
B 1.7700 0.6772 2.3409
B 1.7700 0.3240 5.5743
B 1.7700 0.3240 8.4712
B 1.7700 -0.3240 0.8924
B 1.7700 -0.3240 3.7894
B 1.7700 -0.6772 7.0227
B 1.7700 -2.0855 1.4096
B 1.7700 -2.0855 3.2722
B 1.7700 -3.5860 0.3129
B 1.7700 -3.5860 4.3689
```

(6)
Starting from a PBE-relaxed structure, the X-ray diffraction stick pattern of Dy2ReB6 was simulated for a wavelength of 1.5418 Å.

Main lines, low angle first (2θ from 10° to 90°):
d [Å]	two_theta	Rel. int.
3.679	24.19	100
2.957	30.22	63
2.760	32.44	30
2.706	33.10	23
2.305	39.08	77
2.274	39.63	25
2.208	40.88	38
2.180	41.42	29
2.009	45.13	21
1.840	49.55	22

Crystal structure
```
36
Lattice="9.1840 0.0000 0.0000 0.0000 11.5737 0.0000 0.0000 0.0000 3.6794" Properties=species:S:1:pos:R:3 pbc="T T T"
Dy 0.5150 1.5046 0.0000
Dy 1.6129 4.7889 0.0000
Dy 2.9791 10.5758 0.0000
Dy 4.0770 7.2914 0.0000
Dy 5.1070 4.2823 0.0000
Dy 6.2049 0.9979 0.0000
Dy 7.5711 6.7848 0.0000
Dy 8.6690 10.0691 0.0000
Re 1.2753 7.8555 0.0000
Re 3.3167 2.0686 0.0000
Re 5.8673 9.5051 0.0000
Re 7.9087 3.7182 0.0000
B 0.1513 3.3332 1.8397
B 0.4924 6.5625 1.8397
B 0.9329 11.2440 1.8397
B 1.2136 9.4175 1.8397
B 1.9017 2.7066 1.8397
B 2.2996 0.9334 1.8397
B 2.2923 6.7203 1.8397
B 2.6903 8.4935 1.8397
B 3.3784 3.6307 1.8397
B 3.6591 5.4571 1.8397
B 4.0995 0.7756 1.8397
B 4.4407 9.1200 1.8397
B 4.7433 2.4537 1.8397
B 5.0844 10.7981 1.8397
B 5.5249 6.1166 1.8397
B 5.8056 7.9430 1.8397
B 6.4937 3.0803 1.8397
B 6.8916 4.8534 1.8397
B 6.8843 10.6403 1.8397
B 7.2823 8.8671 1.8397
B 7.9704 2.1562 1.8397
B 8.2511 0.3298 1.8397
B 8.6915 5.0112 1.8397
B 9.0327 8.2406 1.8397
```

(7)
Starting from a PBE-relaxed structure, the X-ray diffraction stick pattern of DyB4Rh4 was simulated for a wavelength of 1.5418 Å.

Main lines, low angle first (2θ from 10° to 90°):
d [Å]	two_theta	Rel. int.
3.778	23.55	22
3.059	29.19	42
2.655	33.76	24
2.515	35.70	73
2.275	39.61	100
2.255	39.98	71
2.012	45.06	33
1.453	64.07	22
1.448	64.33	19
1.327	71.01	29

Crystal structure
```
18
Lattice="5.3426 0.0000 0.0000 0.0000 5.3426 0.0000 0.0000 0.0000 7.4625" Properties=species:S:1:pos:R:3 pbc="T T T"
Dy 1.3357 4.0070 1.8656
Dy 4.0070 1.3357 5.5968
B 0.4332 1.3357 0.7345
B 1.3357 0.4332 4.4657
B 1.3357 2.2381 4.4657
B 2.2381 1.3357 0.7345
B 3.1045 4.0070 6.7280
B 4.0070 3.1045 2.9967
B 4.0070 4.9094 2.9967
B 4.9094 4.0070 6.7280
Rh 0.0045 4.0070 4.5196
Rh 1.3357 2.6758 6.6741
Rh 1.3357 5.3381 6.6741
Rh 2.6668 4.0070 4.5196
Rh 2.6758 1.3357 2.9428
Rh 4.0070 0.0045 0.7884
Rh 4.0070 2.6668 0.7884
Rh 5.3381 1.3357 2.9428
```